# ScTaPt
Calculated powder diffractogram, Cu Kα, 1.54184 Å. Input: a cell relaxed with GGA-PBE.
Neutral-atom scattering factors, no anomalous dispersion.

Main lines, most intense first (10° ≤ 2θ ≤ 90°):
d = 2.186 Å, I = 100
d = 2.502 Å, I = 67
d = 7.786 Å, I = 49
d = 3.857 Å, I = 46
d = 2.220 Å, I = 34
d = 2.595 Å, I = 33
d = 1.687 Å, I = 18
d = 1.275 Å, I = 18
d = 3.028 Å, I = 18
d = 1.341 Å, I = 17

```
ScTaPt
1.0
3.287 0.000 0.000
0.000 4.439 0.000
0.000 0.000 7.786
Sc Ta Pt
2 2 2
Direct
0.250 0.250 0.145
0.750 0.750 0.855
0.250 0.750 0.489
0.750 0.250 0.511
0.250 0.250 0.783
0.750 0.750 0.217
```

---

# Sc6Tl2Pt
Calculated powder diffractogram, Cu Kα, 1.54184 Å. Input: a cell relaxed with GGA-PBE.
Neutral-atom scattering factors, no anomalous dispersion.

Main lines, most intense first (10° ≤ 2θ ≤ 90°):
d = 4.069 Å, I = 100
d = 2.522 Å, I = 62
d = 2.144 Å, I = 60
d = 2.349 Å, I = 55
d = 3.215 Å, I = 50
d = 2.701 Å, I = 27
d = 1.476 Å, I = 25
d = 1.432 Å, I = 23
d = 1.538 Å, I = 21
d = 2.035 Å, I = 19

```
Sc6Tl2Pt
1.0
3.612 0.000 0.000
0.000 7.045 4.070
0.000 -7.045 4.070
Sc Tl Pt
6 2 1
Direct
0.000 0.000 0.000
0.000 0.501 0.750
0.000 0.750 0.501
0.500 0.136 0.750
0.500 0.364 0.364
0.500 0.750 0.136
0.000 0.083 0.417
0.000 0.417 0.083
0.500 0.751 0.751
```

---

# Tm2ScPt2
Calculated powder diffractogram, Cu Kα, 1.54184 Å. Input: a cell relaxed with GGA-PBE.
Neutral-atom scattering factors, no anomalous dispersion.

Main lines, most intense first (10° ≤ 2θ ≤ 90°):
d = 2.377 Å, I = 100
d = 2.393 Å, I = 21
d = 3.455 Å, I = 21
d = 1.372 Å, I = 21
d = 4.322 Å, I = 20
d = 1.687 Å, I = 14
d = 1.379 Å, I = 14
d = 1.189 Å, I = 11
d = 1.967 Å, I = 8
d = 3.198 Å, I = 8

```
Tm2ScPt2
1.0
4.754 0.000 0.000
0.000 4.786 0.000
0.000 0.000 10.053
Tm Sc Pt
4 2 4
Direct
0.250 0.250 0.008
0.250 0.250 0.671
0.750 0.750 0.329
0.750 0.750 0.992
0.250 0.250 0.339
0.750 0.750 0.661
0.250 0.750 0.166
0.250 0.750 0.515
0.750 0.250 0.485
0.750 0.250 0.834
```

---

# Tm3ScPt3
Calculated powder diffractogram, Cu Kα, 1.54184 Å. Input: a cell relaxed with GGA-PBE.
Neutral-atom scattering factors, no anomalous dispersion.

Main lines, most intense first (10° ≤ 2θ ≤ 90°):
d = 2.508 Å, I = 100
d = 2.293 Å, I = 100
d = 2.351 Å, I = 44
d = 2.497 Å, I = 42
d = 6.848 Å, I = 39
d = 2.772 Å, I = 29
d = 2.205 Å, I = 25
d = 2.716 Å, I = 24
d = 2.965 Å, I = 22
d = 1.363 Å, I = 20

```
Tm3ScPt3
1.0
5.037 -4.703 0.000
5.037 4.703 0.000
-0.882 0.000 6.692
Tm Sc Pt
6 2 6
Direct
0.191 0.809 0.000
0.276 0.724 0.500
0.303 0.303 0.993
0.697 0.697 0.007
0.724 0.276 0.500
0.809 0.191 0.000
0.223 0.223 0.454
0.777 0.777 0.546
0.008 0.500 0.247
0.053 0.053 0.709
0.500 0.008 0.247
0.500 0.992 0.753
0.947 0.947 0.291
0.992 0.500 0.753
```

---

Q: Which formula does entry 4 have?
A: Tm3ScPt3